# AcPmDy3Tm
Computed powder XRD pattern, CuKα. Input: the GGA-PBE geometry in Alexandria.
Neutral-atom scattering factors, no anomalous dispersion.

Top 8 peaks for 5° ≤ 2θ ≤ 70°, by angle:
hkl 1 1 2, 2θ = 28.43°, rel. 19.3
hkl 4 0 -2, 2θ = 29.21°, rel. 16.6
hkl 5 1 -1, 2θ = 30.15°, rel. 65.1
hkl 5 1 1, 2θ = 30.71°, rel. 24.9
hkl 3 1 -2, 2θ = 30.96°, rel. 22.4
hkl 0 2 0, 2θ = 31.60°, rel. 100.0
hkl 7 1 0, 2θ = 36.46°, rel. 22.9
hkl 9 1 -3, 2θ = 57.65°, rel. 12.4

Atomic structure:
abc: 19.162 5.668 7.744
angles: 90.00 91.80 90.00
Space group C2/m (No. 12)
One atom of each set of equivalent atoms:
Ac 0.139 0.000 0.024 (multiplicity 4)
Pm 0.048 0.500 0.292 (multiplicity 4)
Dy 0.025 0.000 0.697 (multiplicity 4)
Dy 0.165 0.500 0.708 (multiplicity 4)
Dy 0.220 0.500 0.249 (multiplicity 4)
Tm 0.155 0.000 0.447 (multiplicity 4)

# AcPm2Dy2Tm2
Computed powder XRD pattern, CuKα. Input: the GGA-PBE geometry in Alexandria.
Neutral-atom scattering factors, no anomalous dispersion.

Top 8 peaks for 5° ≤ 2θ ≤ 70°, by angle:
hkl 1 1 2, 2θ = 30.16°, rel. 100.0
hkl 3 1 -1, 2θ = 30.26°, rel. 99.1
hkl 2 0 -3, 2θ = 34.76°, rel. 34.3
hkl 4 0 1, 2θ = 35.10°, rel. 33.5
hkl 0 2 0, 2θ = 35.22°, rel. 33.3
hkl 2 2 -3, 2θ = 50.33°, rel. 36.3
hkl 4 2 1, 2θ = 50.57°, rel. 24.0
hkl 1 3 2, 2θ = 60.13°, rel. 28.6

Atomic structure:
abc: 11.432 5.097 8.167
angles: 90.00 98.30 90.00
Space group C2/m (No. 12)
One atom of each set of equivalent atoms:
Ac 0.000 0.000 0.000 (multiplicity 2)
Pm 0.142 0.000 0.432 (multiplicity 4)
Dy 0.216 0.500 0.147 (multiplicity 4)
Tm 0.074 0.500 0.710 (multiplicity 4)

# AcPm5Dy2Y
Computed powder XRD pattern, CuKα. Input: the GGA-PBE geometry in Alexandria.
Neutral-atom scattering factors, no anomalous dispersion.

Top 8 peaks for 5° ≤ 2θ ≤ 70°, by angle:
hkl 1 3 2, 2θ = 26.98°, rel. 33.3
hkl 0 6 2, 2θ = 28.97°, rel. 27.5
hkl 0 2 3, 2θ = 29.09°, rel. 26.9
hkl 1 5 2, 2θ = 30.81°, rel. 90.4
hkl 1 7 1, 2θ = 31.80°, rel. 100.0
hkl 2 0 0, 2θ = 32.09°, rel. 67.2
hkl 1 1 3, 2θ = 32.68°, rel. 56.6
hkl 2 6 2, 2θ = 43.82°, rel. 35.9

Atomic structure:
abc: 5.578 24.278 9.517
angles: 90.00 90.00 90.00
Space group Cmc2_1 (No. 36)
One atom of each set of equivalent atoms:
Ac 0.000 0.102 0.000 (multiplicity 4)
Pm 0.000 0.025 0.673 (multiplicity 4)
Pm 0.000 0.105 0.395 (multiplicity 4)
Pm 0.000 0.190 0.703 (multiplicity 4)
Pm 0.000 0.242 0.066 (multiplicity 4)
Pm 0.000 0.491 0.893 (multiplicity 4)
Dy 0.000 0.327 0.752 (multiplicity 4)
Dy 0.000 0.388 0.140 (multiplicity 4)
Y 0.000 0.264 0.392 (multiplicity 4)

# AcPmDyY
Computed powder XRD pattern, CuKα. Input: the GGA-PBE geometry in Alexandria.
Neutral-atom scattering factors, no anomalous dispersion.

Top 8 peaks for 5° ≤ 2θ ≤ 70°, by angle:
hkl 1 1 0, 2θ = 29.59°, rel. 51.2
hkl 0 1 2, 2θ = 29.69°, rel. 100.0
hkl 0 2 0, 2θ = 30.90°, rel. 46.1
hkl 1 1 1, 2θ = 32.26°, rel. 28.5
hkl 1 0 2, 2θ = 35.98°, rel. 30.8
hkl 1 2 2, 2θ = 48.14°, rel. 27.5
hkl 0 3 2, 2θ = 54.19°, rel. 29.6
hkl 2 1 2, 2θ = 60.71°, rel. 34.4

Atomic structure:
abc: 3.539 5.787 7.044
angles: 90.00 90.00 90.00
Space group Pmm2 (No. 25)
One atom of each set of equivalent atoms:
Ac 0.000 0.000 0.000 (multiplicity 1)
Pm 0.500 0.500 0.263 (multiplicity 1)
Dy 0.000 0.000 0.487 (multiplicity 1)
Y 0.000 0.500 0.728 (multiplicity 1)

# AcPm2DyY
Computed powder XRD pattern, CuKα. Input: the GGA-PBE geometry in Alexandria.
Neutral-atom scattering factors, no anomalous dispersion.

Top 8 peaks for 5° ≤ 2θ ≤ 70°, by angle:
hkl 2 2 0, 2θ = 25.54°, rel. 90.3
hkl 1 3 1, 2θ = 27.20°, rel. 24.6
hkl 0 2 2, 2θ = 28.40°, rel. 93.6
hkl 0 4 0, 2θ = 29.33°, rel. 47.7
hkl 2 0 2, 2θ = 32.22°, rel. 100.0
hkl 1 3 2, 2θ = 34.60°, rel. 28.0
hkl 2 4 2, 2θ = 44.13°, rel. 48.8
hkl 0 0 4, 2θ = 49.73°, rel. 27.8

Atomic structure:
abc: 8.510 12.181 7.335
angles: 90.00 90.00 90.00
Space group Cmcm (No. 63)
One atom of each set of equivalent atoms:
Ac 0.000 0.246 0.250 (multiplicity 4)
Pm 0.193 0.500 0.000 (multiplicity 8)
Dy 0.000 0.302 0.750 (multiplicity 4)
Y 0.000 0.043 0.750 (multiplicity 4)

# Ac2PmDyY
Computed powder XRD pattern, CuKα. Input: the GGA-PBE geometry in Alexandria.
Neutral-atom scattering factors, no anomalous dispersion.

Top 8 peaks for 5° ≤ 2θ ≤ 70°, by angle:
hkl 1 0 1, 2θ = 19.04°, rel. 26.1
hkl 2 0 0, 2θ = 27.63°, rel. 100.0
hkl 0 1 2, 2θ = 28.28°, rel. 23.5
hkl 0 3 0, 2θ = 29.91°, rel. 22.3
hkl 2 1 1, 2θ = 32.35°, rel. 17.6
hkl 0 2 2, 2θ = 33.25°, rel. 23.2
hkl 1 3 1, 2θ = 35.70°, rel. 17.7
hkl 2 0 2, 2θ = 38.63°, rel. 17.6

Atomic structure:
abc: 6.450 8.960 6.744
angles: 90.00 90.00 90.00
Space group Pmma (No. 51)
One atom of each set of equivalent atoms:
Ac 0.250 0.203 0.209 (multiplicity 4)
Pm 0.250 0.500 0.917 (multiplicity 2)
Dy 0.000 0.500 0.500 (multiplicity 2)
Y 0.250 0.000 0.680 (multiplicity 2)

# AcPr8Dy5
Computed powder XRD pattern, CuKα. Input: the GGA-PBE geometry in Alexandria.
Neutral-atom scattering factors, no anomalous dispersion.

Top 8 peaks for 5° ≤ 2θ ≤ 70°, by angle:
hkl -1 1 2, 2θ = 28.68°, rel. 12.8
hkl -2 2 1, 2θ = 28.83°, rel. 14.7
hkl 1 1 1, 2θ = 30.97°, rel. 42.9
hkl 1 -3 1, 2θ = 31.10°, rel. 100.0
hkl 0 2 -3, 2θ = 31.89°, rel. 14.6
hkl 3 -1 0, 2θ = 32.05°, rel. 14.9
hkl 1 0 -3, 2θ = 33.29°, rel. 18.0
hkl -3 2 1, 2θ = 33.56°, rel. 16.9

Atomic structure:
abc: 8.724 8.776 8.791
angles: 113.18 97.80 117.55
Space group P1 (No. 1)
One atom of each set of equivalent atoms:
Ac 0.000 0.000 0.000 (multiplicity 1)
Pr 0.052 0.274 0.788 (multiplicity 1)
Pr 0.096 0.719 0.096 (multiplicity 1)
Pr 0.204 0.267 0.474 (multiplicity 1)
Pr 0.357 0.788 0.841 (multiplicity 1)
Pr 0.462 0.063 0.597 (multiplicity 1)
Pr 0.493 0.287 0.229 (multiplicity 1)
Pr 0.626 0.731 0.621 (multiplicity 1)
Pr 0.674 0.974 0.298 (multiplicity 1)
Dy 0.276 0.543 0.262 (multiplicity 1)
Dy 0.583 0.525 0.950 (multiplicity 1)
Dy 0.793 0.269 0.059 (multiplicity 1)
Dy 0.865 0.489 0.622 (multiplicity 1)
Dy 0.937 0.775 0.420 (multiplicity 1)

# Ac5Pr12Dy2
Computed powder XRD pattern, CuKα. Input: the GGA-PBE geometry in Alexandria.
Neutral-atom scattering factors, no anomalous dispersion.

Top 8 peaks for 5° ≤ 2θ ≤ 70°, by angle:
hkl 4 2 -1, 2θ = 28.91°, rel. 100.0
hkl 2 0 -3, 2θ = 29.63°, rel. 30.2
hkl 6 0 1, 2θ = 30.04°, rel. 31.6
hkl 8 0 -2, 2θ = 32.13°, rel. 36.4
hkl 2 2 2, 2θ = 34.97°, rel. 41.2
hkl 6 2 -4, 2θ = 47.94°, rel. 15.3
hkl 10 2 0, 2θ = 48.50°, rel. 16.6
hkl 8 4 -2, 2θ = 59.88°, rel. 23.1

Atomic structure:
abc: 23.292 7.423 9.094
angles: 90.00 110.90 90.00
Space group C2/m (No. 12)
One atom of each set of equivalent atoms:
Ac 0.000 0.000 0.000 (multiplicity 2)
Ac 0.151 0.500 0.590 (multiplicity 4)
Ac 0.245 0.000 0.984 (multiplicity 4)
Pr 0.047 0.500 0.193 (multiplicity 4)
Pr 0.105 0.261 0.876 (multiplicity 8)
Pr 0.139 0.000 0.547 (multiplicity 4)
Pr 0.199 0.253 0.290 (multiplicity 8)
Dy 0.000 0.259 0.500 (multiplicity 4)

# Ac2PrDy4
Computed powder XRD pattern, CuKα. Input: the GGA-PBE geometry in Alexandria.
Neutral-atom scattering factors, no anomalous dispersion.

Top 8 peaks for 5° ≤ 2θ ≤ 70°, by angle:
hkl 1 1 2, 2θ = 21.47°, rel. 14.3
hkl 3 1 0, 2θ = 27.85°, rel. 100.0
hkl 2 1 3, 2θ = 33.08°, rel. 89.3
hkl 4 0 2, 2θ = 39.79°, rel. 19.4
hkl 3 3 2, 2θ = 41.82°, rel. 12.9
hkl 4 2 2, 2θ = 43.78°, rel. 18.2
hkl 6 1 1, 2θ = 55.98°, rel. 22.5
hkl 5 1 4, 2θ = 59.06°, rel. 11.4

Atomic structure:
abc: 10.122 10.122 10.152
angles: 90.00 90.00 90.00
Space group I-42d (No. 122)
One atom of each set of equivalent atoms:
Ac 0.119 0.250 0.125 (multiplicity 8)
Pr 0.000 0.000 0.500 (multiplicity 4)
Dy 0.081 0.172 0.784 (multiplicity 16)

# AcPr5Dy5
Computed powder XRD pattern, CuKα. Input: the GGA-PBE geometry in Alexandria.
Neutral-atom scattering factors, no anomalous dispersion.

Top 8 peaks for 5° ≤ 2θ ≤ 70°, by angle:
hkl 1 0 3, 2θ = 27.97°, rel. 100.0
hkl 1 1 0, 2θ = 28.57°, rel. 84.2
hkl 1 1 1, 2θ = 29.57°, rel. 33.5
hkl 1 0 4, 2θ = 34.53°, rel. 27.7
hkl 2 0 2, 2θ = 36.51°, rel. 35.3
hkl 1 1 3, 2θ = 36.68°, rel. 28.2
hkl 2 1 3, 2θ = 50.24°, rel. 40.6
hkl 2 2 0, 2θ = 59.15°, rel. 27.6

Atomic structure:
abc: 6.2480 6.2480 11.8458
angles: 90.00 90.00 120.00
Space group P-6m2 (No. 187)
One atom of each set of equivalent atoms:
Ac 0.0000 0.0000 0.0000 (multiplicity 1)
Pr 0.0000 0.0000 0.3279 (multiplicity 2)
Pr 0.3333 0.6667 0.1596 (multiplicity 2)
Pr 0.6667 0.3333 0.0000 (multiplicity 1)
Dy 0.5007 0.0014 0.5000 (multiplicity 3)
Dy 0.6667 0.3333 0.2663 (multiplicity 2)

# Ac2Pr7Dy3
Computed powder XRD pattern, CuKα. Input: the GGA-PBE geometry in Alexandria.
Neutral-atom scattering factors, no anomalous dispersion.

Top 8 peaks for 5° ≤ 2θ ≤ 70°, by angle:
hkl 1 1 1, 2θ = 28.54°, rel. 24.1
hkl 0 0 6, 2θ = 29.59°, rel. 100.0
hkl 1 1 2, 2θ = 30.05°, rel. 66.3
hkl 2 0 3, 2θ = 32.44°, rel. 33.8
hkl 1 1 -4, 2θ = 33.40°, rel. 46.1
hkl 3 1 -1, 2θ = 48.31°, rel. 23.0
hkl 1 1 8, 2θ = 50.50°, rel. 15.1
hkl 0 2 6, 2θ = 58.81°, rel. 16.2

Atomic structure:
abc: 6.584 3.674 18.240
angles: 90.00 96.04 90.00
Space group P2/m (No. 10)
One atom of each set of equivalent atoms:
Ac 0.062 0.000 0.172 (multiplicity 2)
Pr 0.000 0.500 0.500 (multiplicity 1)
Pr 0.231 0.000 0.666 (multiplicity 2)
Pr 0.261 0.000 0.997 (multiplicity 2)
Pr 0.281 0.500 0.340 (multiplicity 2)
Dy 0.450 0.500 0.840 (multiplicity 2)
Dy 0.500 0.000 0.500 (multiplicity 1)

# AcPr4Dy10
Computed powder XRD pattern, CuKα. Input: the GGA-PBE geometry in Alexandria.
Neutral-atom scattering factors, no anomalous dispersion.

Top 8 peaks for 5° ≤ 2θ ≤ 70°, by angle:
hkl 2 3 1, 2θ = 28.27°, rel. 34.7
hkl 1 1 2, 2θ = 28.53°, rel. 64.4
hkl 3 3 0, 2θ = 29.31°, rel. 30.5
hkl 4 2 0, 2θ = 30.93°, rel. 100.0
hkl 1 3 2, 2θ = 34.75°, rel. 69.8
hkl 1 5 0, 2θ = 35.40°, rel. 30.0
hkl 3 3 2, 2θ = 40.11°, rel. 32.4
hkl 1 5 2, 2θ = 44.93°, rel. 39.4

Atomic structure:
abc: 12.929 12.929 6.660
angles: 90.00 90.00 90.00
Space group I4/m (No. 87)
One atom of each set of equivalent atoms:
Ac 0.000 0.000 0.000 (multiplicity 2)
Pr 0.067 0.823 0.500 (multiplicity 8)
Dy 0.000 0.500 0.250 (multiplicity 4)
Dy 0.131 0.295 0.251 (multiplicity 16)

# Ac6Pr8Dy
Computed powder XRD pattern, CuKα. Input: the GGA-PBE geometry in Alexandria.
Neutral-atom scattering factors, no anomalous dispersion.

Top 8 peaks for 5° ≤ 2θ ≤ 70°, by angle:
hkl 2 1 1, 2θ = 28.60°, rel. 38.8
hkl 1 2 2, 2θ = 29.44°, rel. 100.0
hkl 1 0 7, 2θ = 30.19°, rel. 30.4
hkl 2 -1 6, 2θ = 30.50°, rel. 19.6
hkl 3 -1 4, 2θ = 32.69°, rel. 11.7
hkl 0 3 3, 2θ = 34.47°, rel. 13.1
hkl 4 1 3, 2θ = 51.73°, rel. 15.8
hkl 2 4 1, 2θ = 58.69°, rel. 10.7

Atomic structure:
abc: 9.6297 9.6297 22.1623
angles: 90.00 90.00 120.00
Space group R-3 (No. 148, hexagonal axes)
One atom of each set of equivalent atoms:
Ac 0.0511 0.7990 0.2088 (multiplicity 18)
Pr 0.0000 0.0000 0.0751 (multiplicity 6)
Pr 0.0819 0.5129 0.3064 (multiplicity 18)
Dy 0.0000 0.0000 0.5000 (multiplicity 3)